The following is a calculated XRD peak list of VPd8Au2. It was derived from a PBE-relaxed structure, using Cu Kα (λ = 1.5418 Å).

Crystal structure
Cell lengths 8.0866, 10.7450, 4.2266 Å; angles 90.00, 90.00, 90.00 degrees
Space group Cmmm (No. 65)
Asymmetric unit:
V 0.0000 0.0000 0.0000
Pd 0.0000 0.2284 0.0000
Pd 0.1662 0.1277 0.5000
Pd 0.1802 0.5000 0.0000
Au 0.0000 0.3747 0.5000

Top 12 peaks for 10 to 90 degrees two-theta, by angle:
| Position (°2θ) | I/Imax | index |
| --- | --- | --- |
| 21.0 | 18.0 | 0 0 1 |
| 35.0 | 16.0 | 2 2 1 |
| 39.8 | 100.0 | 0 4 1 |
| 40.6 | 87.1 | 3 1 1 |
| 41.9 | 31.6 | 3 3 0 |
| 42.8 | 42.6 | 0 0 2 |
| 47.4 | 13.8 | 3 3 1 |
| 54.6 | 21.7 | 3 5 0 |
| 61.5 | 26.8 | 3 3 2 |
| 71.8 | 18.9 | 3 5 2 |
| 76.3 | 14.5 | 0 4 3 |
| 83.4 | 22.2 | 6 4 1 |